Structure and theoretical X-ray diffraction stick pattern of CdIn17Ga11 (a GGA-PBE-relaxed structure; Cu Kα (λ = 1.5418 Å)).
No peak broadening, texture or thermal motion is included.

Peak list (6 most intense, 2θ from 10° to 90°, most intense first)
d [Å]  I_rel  hkl
2.593  100  2 2 2
2.816  99  3 3 0
2.823  75  0 0 3
2.482  62  1 5 -2
2.444  57  0 6 0
2.584  55  4 2 -2

abc: 11.309 14.688 9.277
angles: 90.00 114.05 90.00
Space group Cm (No. 8)
Asymmetric unit:
Cd 0.000 0.000 0.000 [2 per cell]
In 0.035 0.000 0.545 [2 per cell]
In 0.162 0.127 0.895 [4 per cell]
In 0.170 0.500 0.259 [2 per cell]
In 0.178 0.500 0.894 [2 per cell]
In 0.180 0.142 0.250 [4 per cell]
In 0.197 0.175 0.587 [4 per cell]
In 0.348 0.315 0.872 [4 per cell]
In 0.355 0.321 0.486 [4 per cell]
In 0.376 0.000 0.606 [2 per cell]
In 0.384 0.000 0.259 [2 per cell]
In 0.478 0.202 0.247 [4 per cell]
Ga 0.020 0.306 0.746 [4 per cell]
Ga 0.109 0.397 0.553 [4 per cell]
Ga 0.175 0.314 0.078 [4 per cell]
Ga 0.332 0.500 0.666 [2 per cell]
Ga 0.411 0.405 0.220 [4 per cell]
Ga 0.431 0.092 0.943 [4 per cell]


Structure and theoretical X-ray diffraction stick pattern of Li5Mg (a GGA-PBE-relaxed structure; Cu Kα (λ = 1.5418 Å)).
No peak broadening, texture or thermal motion is included.

Peak list (6 most intense, 2θ from 10° to 90°, most intense first)
d [Å]  I_rel  hkl
2.336  100  1 1 3
4.376  56  1 0 1
3.908  42  0 1 2
2.509  39  0 0 6
2.640  34  1 1 0
1.819  26  1 1 6

abc: 5.2809 5.2809 15.0437
angles: 90.00 90.00 120.00
Space group R32 (No. 155, hexagonal axes)
Asymmetric unit:
Li 0.0000 0.0000 0.1668 [6 per cell]
Li 0.0000 0.6674 0.0000 [9 per cell]
Mg 0.0000 0.0000 0.5000 [3 per cell]


Structure and theoretical X-ray diffraction stick pattern of Ce3HoEr3S8 (a GGA-PBE-relaxed structure; Cu Kα (λ = 1.5418 Å)).
No peak broadening, texture or thermal motion is included.

Peak list (6 most intense, 2θ from 10° to 90°, most intense first)
d [Å]  I_rel  hkl
2.786  100  4 0 0
3.204  52  2 2 0
1.982  36  2 2 2
1.959  35  0 4 0
3.255  18  0 0 2
1.678  17  6 2 0

abc: 13.581 7.827 7.934
angles: 90.00 124.87 90.00
Space group C2/m (No. 12)
Asymmetric unit:
Ce 0.000 0.000 0.000 [2 per cell]
Ce 0.250 0.250 0.000 [4 per cell]
Ho 0.000 0.000 0.500 [2 per cell]
Er 0.000 0.500 0.500 [2 per cell]
Er 0.250 0.250 0.500 [4 per cell]
S 0.005 0.252 0.262 [8 per cell]
S 0.245 0.500 0.735 [4 per cell]
S 0.248 0.000 0.738 [4 per cell]


Structure and theoretical X-ray diffraction stick pattern of Ac2La4Er7 (a GGA-PBE-relaxed structure; Cu Kα (λ = 1.5418 Å)).
No peak broadening, texture or thermal motion is included.

Peak list (6 most intense, 2θ from 10° to 90°, most intense first)
d [Å]  I_rel  hkl
2.835  100  1 1 2
3.040  40  1 1 1
2.571  38  2 -1 3
1.800  29  3 0 0
3.407  21  0 0 4
1.836  19  1 1 6

abc: 6.2363 6.2363 13.6270
angles: 90.00 90.00 120.00
Space group P-31m (No. 162)
Asymmetric unit:
Ac 0.3333 0.6667 0.0000 [2 per cell]
La 0.0000 0.0000 0.3921 [2 per cell]
La 0.3333 0.6667 0.5000 [2 per cell]
Er 0.0000 0.0000 0.0000 [1 per cell]
Er 0.0000 0.3514 0.7855 [6 per cell]


Repeat the first record exactly.
Structure and theoretical X-ray diffraction stick pattern of CdIn17Ga11 (a GGA-PBE-relaxed structure; Cu Kα (λ = 1.5418 Å)).
No peak broadening, texture or thermal motion is included.

Peak list (6 most intense, 2θ from 10° to 90°, most intense first)
d [Å]  I_rel  hkl
2.593  100  2 2 2
2.816  99  3 3 0
2.823  75  0 0 3
2.482  62  1 5 -2
2.444  57  0 6 0
2.584  55  4 2 -2

abc: 11.309 14.688 9.277
angles: 90.00 114.05 90.00
Space group Cm (No. 8)
Asymmetric unit:
Cd 0.000 0.000 0.000 [2 per cell]
In 0.035 0.000 0.545 [2 per cell]
In 0.162 0.127 0.895 [4 per cell]
In 0.170 0.500 0.259 [2 per cell]
In 0.178 0.500 0.894 [2 per cell]
In 0.180 0.142 0.250 [4 per cell]
In 0.197 0.175 0.587 [4 per cell]
In 0.348 0.315 0.872 [4 per cell]
In 0.355 0.321 0.486 [4 per cell]
In 0.376 0.000 0.606 [2 per cell]
In 0.384 0.000 0.259 [2 per cell]
In 0.478 0.202 0.247 [4 per cell]
Ga 0.020 0.306 0.746 [4 per cell]
Ga 0.109 0.397 0.553 [4 per cell]
Ga 0.175 0.314 0.078 [4 per cell]
Ga 0.332 0.500 0.666 [2 per cell]
Ga 0.411 0.405 0.220 [4 per cell]
Ga 0.431 0.092 0.943 [4 per cell]


> What is the formula in the second record?

Li5Mg


> Which formula does entry 3 have?

Ce3HoEr3S8